Theoretical X-ray diffraction stick pattern
Compound: RbSrSn4
Radiation: Cu Kα, 1.54184 Å
Structure: a structure optimized by DFT (PBE)

Most intense lines, 2θ from 10° to 90°, most intense first:
| hkl | d/Å | I/Imax |
| --- | --- | --- |
| 1 3 1 | 2.871 | 100 |
| 0 0 2 | 2.825 | 30 |
| 2 0 0 | 2.780 | 29 |
| 2 0 2 | 1.982 | 22 |
| 1 3 3 | 1.640 | 19 |
| 3 3 1 | 1.622 | 19 |

abc: 5.561 12.494 5.650
angles: 90.00 90.00 90.00
Space group Cmmm (No. 65)
Unique sites:
Rb: 0.000 0.000 0.000 x2
Sr: 0.000 0.500 0.500 x2
Sn: 0.000 0.197 0.500 x4
Sn: 0.000 0.305 0.000 x4